Entry 1:
For Cs2UAg2I6, DFT lattice parameters and positions (PBE) gives the theoretical XRD peak list in this record (Cu Kα X-rays).
Peak positions follow from Bragg's law for the DFT cell and can differ from measured ones.

Most intense lines, 2θ from 10° to 90°, low angle first:
2θ 13.64, I 59.4, (1 1 -1); 2θ 18.48, I 41.7, (1 1 1); 2θ 20.57, I 72.3, (3 1 -1); 2θ 21.32, I 95.3, (1 1 -2); 2θ 24.27, I 49.1, (4 0 -1); 2θ 27.48, I 100.0, (2 2 -2); 2θ 28.09, I 37.8, (4 0 0); 2θ 36.32, I 50.0, (6 0 -2); 2θ 38.80, I 39.7, (3 1 2); 2θ 40.80, I 83.4, (0 4 0)

Crystal structure
```
data_Cs2UAg2I6
_chemical_formula_sum 'Cs4 U2 Ag4 I12'
_cell_length_a 14.8451
_cell_length_b 8.8421
_cell_length_c 9.6817
_cell_angle_alpha 90.00
_cell_angle_beta 121.13
_cell_angle_gamma 90.00
_symmetry_space_group_name_H-M 'C 1 2/m 1'
_symmetry_Int_Tables_number 12
_symmetry_space_group_name_Hall '-C 2y'
loop_
_atom_site_label
_atom_site_type_symbol
_atom_site_fract_x
_atom_site_fract_y
_atom_site_fract_z
Cs1 Cs 0.2109 0.0000 0.1790
U1 U 0.0000 0.0000 0.5000
Ag1 Ag 0.0440 0.5000 0.1627
I1 I 0.0555 0.2391 0.7708
I2 I 0.2336 0.0000 0.5921
```

---

Entry 2:
For CsV2AgI8, DFT lattice parameters and positions (PBE) gives the theoretical XRD peak list in this record (Cu Kα X-rays).
Peak positions follow from Bragg's law for the DFT cell and can differ from measured ones.

Most intense lines, 2θ from 10° to 90°, low angle first:
2θ 17.52, I 16.7, (1 0 4); 2θ 24.64, I 35.3, (0 0 9); 2θ 25.21, I 100.0, (1 1 3); 2θ 29.03, I 86.4, (2 -1 6); 2θ 41.16, I 44.2, (1 1 12); 2θ 41.88, I 44.1, (3 0 0); 2θ 49.20, I 31.5, (3 0 9); 2θ 49.52, I 15.5, (4 -2 3); 2θ 51.77, I 16.9, (2 2 6); 2θ 68.69, I 14.4, (5 -1 6)

Crystal structure
```
data_CsV2AgI8
_chemical_formula_sum 'Cs3 V6 Ag3 I24'
_cell_length_a 7.4720
_cell_length_b 7.4720
_cell_length_c 32.5114
_cell_angle_alpha 90.00
_cell_angle_beta 90.00
_cell_angle_gamma 120.00
_symmetry_space_group_name_H-M 'R -3'
_symmetry_Int_Tables_number 148
_symmetry_space_group_name_Hall '-R 3'
loop_
_atom_site_label
_atom_site_type_symbol
_atom_site_fract_x
_atom_site_fract_y
_atom_site_fract_z
Cs1 Cs 0.0000 0.0000 0.0000
V1 V 0.0000 0.0000 0.2467
Ag1 Ag 0.0000 0.0000 0.5000
I1 I 0.0000 0.0000 0.3263
I2 I 0.0010 0.6638 0.1102
```

---

Entry 3:
For Cs2VAgI6, DFT lattice parameters and positions (PBE) gives the theoretical XRD peak list in this record (Cu Kα X-rays).
Peak positions follow from Bragg's law for the DFT cell and can differ from measured ones.

Most intense lines, 2θ from 10° to 90°, low angle first:
2θ 26.19, I 100.0, (2 2 0); 2θ 28.56, I 30.1, (0 4 0); 2θ 31.18, I 59.3, (0 0 2); 2θ 42.79, I 39.2, (0 4 2); 2θ 44.67, I 21.4, (4 0 0); 2θ 49.16, I 19.2, (2 6 0); 2θ 52.52, I 29.0, (2 2 2); 2θ 53.88, I 19.6, (4 4 0); 2θ 68.58, I 15.4, (2 6 2); 2θ 81.02, I 11.8, (4 4 2)

Crystal structure
```
data_Cs2VAgI6
_chemical_formula_sum 'Cs4 V2 Ag2 I12'
_cell_length_a 11.4703
_cell_length_b 12.5014
_cell_length_c 8.1139
_cell_angle_alpha 90.00
_cell_angle_beta 134.98
_cell_angle_gamma 90.00
_symmetry_space_group_name_H-M 'C 1 2 1'
_symmetry_Int_Tables_number 5
_symmetry_space_group_name_Hall 'C 2y'
loop_
_atom_site_label
_atom_site_type_symbol
_atom_site_fract_x
_atom_site_fract_y
_atom_site_fract_z
Cs1 Cs 0.0000 0.0000 0.0000
Cs2 Cs 0.0000 0.5000 0.0000
V1 V 0.0000 0.2388 0.5000
Ag1 Ag 0.0000 0.7009 0.5000
I1 I 0.0000 0.0212 0.5000
I2 I 0.0000 0.4704 0.5000
I3 I 0.2437 0.2525 0.4986
I4 I 0.2449 0.2523 0.9884
```

---

Entry 4:
For CsYAgI6, DFT lattice parameters and positions (PBE) gives the theoretical XRD peak list in this record (Cu Kα X-rays).
Peak positions follow from Bragg's law for the DFT cell and can differ from measured ones.

Most intense lines, 2θ from 10° to 90°, low angle first:
2θ 10.85, I 58.0, (0 0 1); 2θ 17.39, I 67.1, (0 1 1); 2θ 21.55, I 57.4, (1 1 -1); 2θ 23.17, I 46.5, (1 0 -2); 2θ 25.11, I 100.0, (1 1 1); 2θ 27.76, I 97.8, (2 -1 1); 2θ 31.90, I 82.0, (1 2 -1); 2θ 32.69, I 61.3, (-1 2 2); 2θ 37.63, I 43.4, (0 3 0); 2θ 47.35, I 46.4, (1 -3 3)

Crystal structure
```
data_CsYAgI6
_chemical_formula_sum 'Cs1 Y1 Ag1 I6'
_cell_length_a 7.5622
_cell_length_b 7.6930
_cell_length_c 8.3059
_cell_angle_alpha 93.30
_cell_angle_beta 98.72
_cell_angle_gamma 110.11
_symmetry_space_group_name_H-M 'P 1'
_symmetry_Int_Tables_number 1
_symmetry_space_group_name_Hall 'P 1'
loop_
_atom_site_label
_atom_site_type_symbol
_atom_site_fract_x
_atom_site_fract_y
_atom_site_fract_z
Cs1 Cs 0.0000 0.0000 0.0000
Y1 Y 0.4140 0.6377 0.5089
Ag1 Ag 0.7993 0.3323 0.4433
I1 I 0.0661 0.5803 0.2452
I2 I 0.1296 0.3028 0.6328
I3 I 0.4301 0.9149 0.7733
I4 I 0.4892 0.3828 0.2407
I5 I 0.6559 0.9389 0.3245
I6 I 0.7189 0.5316 0.7166
```

---

Entry 5:
For Cs2YAgI, DFT lattice parameters and positions (PBE) gives the theoretical XRD peak list in this record (Cu Kα X-rays).
Peak positions follow from Bragg's law for the DFT cell and can differ from measured ones.

Most intense lines, 2θ from 10° to 90°, low angle first:
2θ 20.00, I 22.0, (1 0 1); 2θ 23.70, I 90.0, (1 1 1); 2θ 25.34, I 100.0, (2 0 0); 2θ 31.23, I 29.0, (0 0 2); 2θ 36.14, I 40.0, (2 2 0); 2θ 40.64, I 56.5, (2 0 2); 2θ 43.68, I 34.4, (3 1 1); 2θ 48.50, I 33.1, (2 2 2); 2θ 58.74, I 18.5, (4 2 0); 2θ 68.04, I 23.8, (4 2 2)

Crystal structure
```
data_Cs2YAgI
_chemical_formula_sum 'Cs2 Y1 Ag1 I1'
_cell_length_a 7.0294
_cell_length_b 7.0294
_cell_length_c 5.7273
_cell_angle_alpha 90.00
_cell_angle_beta 90.00
_cell_angle_gamma 90.00
_symmetry_space_group_name_H-M 'P 4/m m m'
_symmetry_Int_Tables_number 123
_symmetry_space_group_name_Hall '-P 4 2'
loop_
_atom_site_label
_atom_site_type_symbol
_atom_site_fract_x
_atom_site_fract_y
_atom_site_fract_z
Cs1 Cs 0.0000 0.5000 0.0000
Y1 Y 0.0000 0.0000 0.5000
Ag1 Ag 0.0000 0.0000 0.0000
I1 I 0.5000 0.5000 0.5000
```

---

Entry 6:
For CsZn2AgI6, DFT lattice parameters and positions (PBE) gives the theoretical XRD peak list in this record (Cu Kα X-rays).
Peak positions follow from Bragg's law for the DFT cell and can differ from measured ones.

Most intense lines, 2θ from 10° to 90°, low angle first:
2θ 19.06, I 44.6, (2 2 -1); 2θ 20.79, I 74.1, (2 2 1); 2θ 23.79, I 25.7, (4 0 0); 2θ 25.56, I 100.0, (1 1 -2); 2θ 25.86, I 52.7, (2 4 -1); 2θ 27.16, I 59.8, (2 4 1); 2θ 27.57, I 40.4, (4 2 -1); 2θ 32.26, I 23.0, (0 4 2); 2θ 37.14, I 28.7, (5 3 1); 2θ 47.71, I 28.1, (4 8 0)

Crystal structure
```
data_CsZn2AgI6
_chemical_formula_sum 'Cs4 Zn8 Ag4 I24'
_cell_length_a 15.0555
_cell_length_b 17.7170
_cell_length_c 7.1661
_cell_angle_alpha 90.00
_cell_angle_beta 96.46
_cell_angle_gamma 90.00
_symmetry_space_group_name_H-M 'C 1 2/c 1'
_symmetry_Int_Tables_number 15
_symmetry_space_group_name_Hall '-C 2yc'
loop_
_atom_site_label
_atom_site_type_symbol
_atom_site_fract_x
_atom_site_fract_y
_atom_site_fract_z
Cs1 Cs 0.0000 0.1156 0.2500
Zn1 Zn 0.1976 0.4268 0.1978
Ag1 Ag 0.0000 0.3608 0.7500
I1 I 0.1174 0.3065 0.0442
I2 I 0.1308 0.0847 0.7689
I3 I 0.1387 0.4421 0.5426
```

---

Entry 7:
For Cs2In3Ag, DFT lattice parameters and positions (PBE) gives the theoretical XRD peak list in this record (Cu Kα X-rays).
Peak positions follow from Bragg's law for the DFT cell and can differ from measured ones.

Most intense lines, 2θ from 10° to 90°, low angle first:
2θ 13.09, I 27.3, (1 1 0); 2θ 21.39, I 28.3, (3 1 0); 2θ 26.81, I 100.0, (2 0 2); 2θ 31.46, I 87.5, (0 2 2); 2θ 33.73, I 41.1, (4 2 0); 2θ 40.24, I 24.8, (2 0 -4); 2θ 42.79, I 23.2, (3 3 -2); 2θ 43.36, I 35.8, (7 1 -2); 2θ 47.12, I 24.8, (5 3 0); 2θ 53.48, I 29.0, (2 2 4)

Crystal structure
```
data_Cs2In3Ag
_chemical_formula_sum 'Cs8 In12 Ag4'
_cell_length_a 15.5392
_cell_length_b 7.5939
_cell_length_c 8.9652
_cell_angle_alpha 90.00
_cell_angle_beta 106.72
_cell_angle_gamma 90.00
_symmetry_space_group_name_H-M 'C 1 2/c 1'
_symmetry_Int_Tables_number 15
_symmetry_space_group_name_Hall '-C 2yc'
loop_
_atom_site_label
_atom_site_type_symbol
_atom_site_fract_x
_atom_site_fract_y
_atom_site_fract_z
Cs1 Cs 0.1663 0.0034 0.0827
In1 In 0.0000 0.3024 0.7500
In2 In 0.1076 0.4972 0.5542
Ag1 Ag 0.0000 0.3146 0.2500
```

---

Entry 8:
For Cs3In4Ag, DFT lattice parameters and positions (PBE) gives the theoretical XRD peak list in this record (Cu Kα X-rays).
Peak positions follow from Bragg's law for the DFT cell and can differ from measured ones.

Most intense lines, 2θ from 10° to 90°, low angle first:
2θ 11.32, I 71.1, (0 2 0); 2θ 21.79, I 52.1, (1 2 1); 2θ 22.76, I 49.5, (0 4 0); 2θ 27.78, I 50.9, (0 2 2); 2θ 29.38, I 53.9, (1 1 2); 2θ 29.51, I 100.0, (1 4 1); 2θ 30.20, I 32.0, (2 0 1); 2θ 32.35, I 72.1, (2 2 1); 2θ 42.03, I 31.5, (2 5 1); 2θ 46.46, I 33.6, (0 8 0)

Crystal structure
```
data_Cs3In4Ag
_chemical_formula_sum 'Cs6 In8 Ag2'
_cell_length_a 6.5217
_cell_length_b 15.6281
_cell_length_c 7.0447
_cell_angle_alpha 90.00
_cell_angle_beta 90.00
_cell_angle_gamma 90.00
_symmetry_space_group_name_H-M 'P m m n'
_symmetry_Int_Tables_number 59
loop_
_symmetry_equiv_pos_as_xyz
'x,y,z'
'-x,-y,-z'
'-x+1/2,-y+1/2,z'
'x+1/2,y+1/2,-z'
'x+1/2,-y,-z'
'-x+1/2,y,z'
'-x,y+1/2,-z'
'x,-y+1/2,z'
loop_
_atom_site_label
_atom_site_type_symbol
_atom_site_fract_x
_atom_site_fract_y
_atom_site_fract_z
Cs1 Cs 0.2500 0.0132 0.2120
Cs2 Cs 0.2500 0.7500 0.5059
In1 In 0.0177 0.7500 0.0065
In2 In 0.2500 0.1478 0.6993
Ag1 Ag 0.2500 0.2500 0.3358
```

---

Entry 9:
For CsIn2Ag, DFT lattice parameters and positions (PBE) gives the theoretical XRD peak list in this record (Cu Kα X-rays).
Peak positions follow from Bragg's law for the DFT cell and can differ from measured ones.

Most intense lines, 2θ from 10° to 90°, low angle first:
2θ 10.32, I 50.1, (0 0 1); 2θ 24.94, I 49.9, (0 1 2); 2θ 25.10, I 69.9, (1 1 1); 2θ 27.67, I 51.0, (1 0 2); 2θ 29.60, I 36.2, (0 2 1); 2θ 31.29, I 29.0, (0 0 3); 2θ 34.94, I 100.0, (1 2 1); 2θ 36.76, I 47.4, (2 0 0); 2θ 39.53, I 35.8, (1 2 2); 2θ 46.32, I 47.6, (1 2 3)

Crystal structure
```
data_CsIn2Ag
_chemical_formula_sum 'Cs2 In4 Ag2'
_cell_length_a 4.8898
_cell_length_b 6.4482
_cell_length_c 8.5754
_cell_angle_alpha 90.00
_cell_angle_beta 90.00
_cell_angle_gamma 90.00
_symmetry_space_group_name_H-M 'P m m n'
_symmetry_Int_Tables_number 59
loop_
_symmetry_equiv_pos_as_xyz
'x,y,z'
'-x,-y,-z'
'-x+1/2,-y+1/2,z'
'x+1/2,y+1/2,-z'
'x+1/2,-y,-z'
'-x+1/2,y,z'
'-x,y+1/2,-z'
'x,-y+1/2,z'
loop_
_atom_site_label
_atom_site_type_symbol
_atom_site_fract_x
_atom_site_fract_y
_atom_site_fract_z
Cs1 Cs 0.2500 0.2500 0.0762
In1 In 0.2500 0.9999 0.6262
Ag1 Ag 0.2500 0.7500 0.3384
```

---

Entry 10:
For CsRbIn2Ag, DFT lattice parameters and positions (PBE) gives the theoretical XRD peak list in this record (Cu Kα X-rays).
Peak positions follow from Bragg's law for the DFT cell and can differ from measured ones.

Most intense lines, 2θ from 10° to 90°, low angle first:
2θ 20.94, I 37.5, (1 0 1); 2θ 26.40, I 100.0, (1 1 1); 2θ 27.27, I 64.1, (0 0 2); 2θ 32.11, I 83.6, (2 0 0); 2θ 42.62, I 75.3, (2 0 2); 2θ 46.05, I 29.9, (2 2 0); 2θ 53.87, I 27.1, (3 1 1); 2θ 54.35, I 36.1, (2 2 2); 2θ 66.27, I 19.6, (2 0 4); 2θ 82.89, I 21.2, (4 2 2)

Crystal structure
```
data_CsRbIn2Ag
_chemical_formula_sum 'Cs1 Rb1 In2 Ag1'
_cell_length_a 5.5743
_cell_length_b 5.5743
_cell_length_c 6.5403
_cell_angle_alpha 90.00
_cell_angle_beta 90.00
_cell_angle_gamma 90.00
_symmetry_space_group_name_H-M 'P 4/m m m'
_symmetry_Int_Tables_number 123
_symmetry_space_group_name_Hall '-P 4 2'
loop_
_atom_site_label
_atom_site_type_symbol
_atom_site_fract_x
_atom_site_fract_y
_atom_site_fract_z
Cs1 Cs 0.0000 0.0000 0.0000
Rb1 Rb 0.5000 0.5000 0.0000
In1 In 0.0000 0.5000 0.5000
Ag1 Ag 0.5000 0.5000 0.5000
```

---

Entry 11:
For CsInAgS2, DFT lattice parameters and positions (PBE) gives the theoretical XRD peak list in this record (Cu Kα X-rays).
Peak positions follow from Bragg's law for the DFT cell and can differ from measured ones.

Most intense lines, 2θ from 10° to 90°, low angle first:
2θ 12.10, I 46.4, (0 2 0); 2θ 20.15, I 33.6, (1 1 1); 2θ 24.34, I 66.0, (0 4 0); 2θ 26.57, I 86.5, (1 3 1); 2θ 29.69, I 49.4, (2 0 1); 2θ 31.12, I 100.0, (0 2 2); 2θ 32.17, I 71.5, (2 2 1); 2θ 38.76, I 56.2, (2 4 1); 2θ 47.29, I 36.7, (0 6 2); 2θ 52.90, I 33.5, (2 2 3)

Crystal structure
```
data_CsInAgS2
_chemical_formula_sum 'Cs4 In4 Ag4 S8'
_cell_length_a 6.8647
_cell_length_b 14.6285
_cell_length_c 6.2502
_cell_angle_alpha 90.00
_cell_angle_beta 90.00
_cell_angle_gamma 90.00
_symmetry_space_group_name_H-M 'C m m e'
_symmetry_Int_Tables_number 67
_symmetry_space_group_name_Hall '-C 2a 2'
loop_
_atom_site_label
_atom_site_type_symbol
_atom_site_fract_x
_atom_site_fract_y
_atom_site_fract_z
Cs1 Cs 0.0000 0.2500 0.2369
In1 In 0.2500 0.0000 0.5000
Ag1 Ag 0.0000 0.0000 0.0000
S1 S 0.0000 0.1136 0.7257
```

---

Entry 12:
For CsKAg3, DFT lattice parameters and positions (PBE) gives the theoretical XRD peak list in this record (Cu Kα X-rays).
Peak positions follow from Bragg's law for the DFT cell and can differ from measured ones.

Most intense lines, 2θ from 10° to 90°, low angle first:
2θ 10.91, I 100.0, (0 1 1); 2θ 16.08, I 59.3, (0 0 2); 2θ 17.86, I 40.8, (1 0 1); 2θ 25.36, I 91.1, (0 1 3); 2θ 29.87, I 55.3, (0 4 0); 2θ 32.04, I 37.6, (1 3 2); 2θ 32.83, I 42.4, (1 2 3); 2θ 39.29, I 72.2, (2 2 2); 2θ 40.38, I 68.4, (2 3 1); 2θ 45.22, I 37.8, (0 5 3)

Crystal structure
```
data_CsKAg3
_chemical_formula_sum 'Cs4 K4 Ag12'
_cell_length_a 5.5612
_cell_length_b 11.9638
_cell_length_c 11.0238
_cell_angle_alpha 90.00
_cell_angle_beta 90.00
_cell_angle_gamma 90.00
_symmetry_space_group_name_H-M 'P n m a'
_symmetry_Int_Tables_number 62
_symmetry_space_group_name_Hall '-P 2ac 2n'
loop_
_atom_site_label
_atom_site_type_symbol
_atom_site_fract_x
_atom_site_fract_y
_atom_site_fract_z
Cs1 Cs 0.0007 0.2500 0.0720
K1 K 0.0000 0.0000 0.5000
Ag1 Ag 0.0065 0.5433 0.2128
Ag2 Ag 0.2417 0.2500 0.7485
```

---

Entry 13:
For Cs3K8Ag, DFT lattice parameters and positions (PBE) gives the theoretical XRD peak list in this record (Cu Kα X-rays).
Peak positions follow from Bragg's law for the DFT cell and can differ from measured ones.

Most intense lines, 2θ from 10° to 90°, low angle first:
2θ 11.52, I 30.2, (1 0 1); 2θ 16.74, I 77.0, (2 0 1); 2θ 20.71, I 42.2, (2 1 1); 2θ 22.05, I 32.9, (1 1 2); 2θ 23.15, I 61.0, (2 0 2); 2θ 24.36, I 100.0, (2 2 0); 2θ 27.02, I 28.7, (3 1 1); 2θ 28.07, I 28.9, (3 0 2); 2θ 38.78, I 33.1, (4 2 1); 2θ 44.97, I 26.8, (2 2 4)

Crystal structure
```
data_Cs3K8Ag
_chemical_formula_sum 'Cs6 K16 Ag2'
_cell_length_a 14.6172
_cell_length_b 14.6172
_cell_length_c 9.6683
_cell_angle_alpha 90.00
_cell_angle_beta 90.00
_cell_angle_gamma 120.00
_symmetry_space_group_name_H-M 'P 63 m c'
_symmetry_Int_Tables_number 186
_symmetry_space_group_name_Hall 'P 6c -2c'
loop_
_atom_site_label
_atom_site_type_symbol
_atom_site_fract_x
_atom_site_fract_y
_atom_site_fract_z
Cs1 Cs 0.1578 0.3156 0.0000
K1 K 0.0000 0.0000 0.2485
K2 K 0.0397 0.5198 0.7767
K3 K 0.2260 0.4520 0.4972
K4 K 0.3333 0.6667 0.1085
Ag1 Ag 0.3333 0.6667 0.7497
```